(1)
The following is a theoretical XRD peak list of LiFePO4. It was derived from the PBE+U geometry in the Materials Project, using Cu Kα.
Lines closer than 0.1° are merged.

Most intense lines, 10° ≤ 2θ ≤ 90°, low angle first:
hkl 0 1 1, 15.25°, d 5.808, intensity 100
hkl 1 1 0, 21.56°, d 4.121, intensity 53
hkl 0 1 2, 22.62°, d 3.931, intensity 38
hkl 1 1 1, 23.64°, d 3.764, intensity 72
hkl 1 1 2, 29.02°, d 3.077, intensity 32
hkl 1 2 1, 31.56°, d 2.835, intensity 63
hkl 2 0 0, 36.38°, d 2.470, intensity 41
hkl 0 0 4, 38.96°, d 2.312, intensity 42

Structure:
Unit cell a=4.9426 b=7.4642 c=9.2480 alpha=90.00 beta=90.00 gamma=90.00
Space group P2_12_12_1 (No. 19)
Unique sites:
Li1 0.0821 0.1303 0.4825 [4 per cell]
Fe1 0.1718 0.7315 0.6250 [4 per cell]
P1 0.1345 0.5022 0.3376 [4 per cell]
O1 0.1422 0.5091 0.1696 [4 per cell]
O2 0.1574 0.0143 0.1024 [4 per cell]
O3 0.2115 0.3315 0.9027 [4 per cell]
O4 0.2243 0.6770 0.8778 [4 per cell]


(2)
The following is a theoretical XRD peak list of LiFe2P3O12. It was derived from the PBE+U geometry in the Materials Project, using Cu Kα.
Lines closer than 0.1° are merged.

Most intense lines, 10° ≤ 2θ ≤ 90°, low angle first:
hkl 2 0 0, 14.24°, d 6.219, intensity 27
hkl 1 1 -1, 14.34°, d 6.175, intensity 28
hkl 2 0 -2, 20.13°, d 4.411, intensity 77
hkl 0 2 0, 20.46°, d 4.341, intensity 45
hkl 3 1 0, 23.79°, d 3.740, intensity 44
hkl 0 2 1, 23.92°, d 3.721, intensity 100
hkl 2 2 -2, 28.92°, d 3.088, intensity 48
hkl 3 1 -3, 32.18°, d 2.781, intensity 32

Structure:
Unit cell a=15.0621 b=8.6700 c=8.8010 alpha=90.00 beta=124.33 gamma=90.00
Space group Cc (No. 9)
Unique sites:
Li1 0.0000 0.1637 0.0000 [4 per cell]
Fe1 0.2021 0.2530 0.3854 [4 per cell]
Fe2 0.4058 0.2501 0.0238 [4 per cell]
P1 0.1621 0.1124 0.7050 [4 per cell]
P2 0.3041 0.4595 0.2076 [4 per cell]
P3 0.4429 0.1132 0.6925 [4 per cell]
O1 0.0435 0.3046 0.2245 [4 per cell]
O2 0.0625 0.1978 0.6704 [4 per cell]
O3 0.1430 0.0637 0.2047 [4 per cell]
O4 0.1788 0.1347 0.5494 [4 per cell]
O5 0.2168 0.3612 0.2033 [4 per cell]
O6 0.2405 0.4403 0.5347 [4 per cell]
O7 0.2562 0.1749 0.8908 [4 per cell]
O8 0.3506 0.1798 0.5054 [4 per cell]
O9 0.3725 0.4490 0.8899 [4 per cell]
O10 0.3901 0.3546 0.2134 [4 per cell]
O11 0.4266 0.1391 0.8476 [4 per cell]
O12 0.4545 0.0626 0.1869 [4 per cell]


(3)
The following is a theoretical XRD peak list of Li2FeP2O7. It was derived from the PBE+U geometry in the Materials Project, using Cu Kα.
Lines closer than 0.1° are merged.

Most intense lines, 10° ≤ 2θ ≤ 90°, low angle first:
hkl 0 2 0, 13.75°, d 6.442, intensity 100
hkl 2 0 0, 22.39°, d 3.970, intensity 87
hkl 2 2 0, 26.37°, d 3.380, intensity 70
hkl 2 0 -2, 27.21°, d 3.278, intensity 58
hkl 2 0 2, 27.90°, d 3.198, intensity 51
hkl 1 3 -2, 28.35°, d 3.148, intensity 70
hkl 1 3 2, 28.68°, d 3.112, intensity 63
hkl 1 5 2, 40.32°, d 2.237, intensity 43

Structure:
Unit cell a=7.9432 b=12.8845 c=11.1856 alpha=90.00 beta=91.49 gamma=90.00
Space group C2/c (No. 15)
Unique sites:
Li1 0.0000 0.2102 0.2500 [4 per cell]
Li2 0.0000 0.2203 0.7500 [4 per cell]
Li3 0.0105 0.2160 0.5023 [8 per cell]
Fe1 0.1929 0.0016 0.1169 [8 per cell]
P1 0.1900 0.3946 0.6283 [8 per cell]
P2 0.2078 0.3841 0.1324 [8 per cell]
O1 0.0503 0.3157 0.6262 [8 per cell]
O2 0.0823 0.2969 0.1251 [8 per cell]
O3 0.0980 0.4919 0.1264 [8 per cell]
O4 0.1720 0.1088 0.9746 [8 per cell]
O5 0.1907 0.1140 0.7477 [8 per cell]
O6 0.1959 0.1069 0.2573 [8 per cell]
O7 0.2014 0.1110 0.4847 [8 per cell]